Ca5Fe2N4: calculated X-ray powder pattern (Cu Kα, 1.54184 Å), based on the PBE geometry in Alexandria.
Kinematic intensities with the Lorentz-polarization factor, no thermal factor.

Cell: 7.9987 7.9987 12.4893 Å, 90.00 90.00 90.00°
Fractional positions:
Ca (0.0728, 0.6297, 0.0903)
Ca (0.0728, 0.8703, 0.5903)
Ca (0.1297, 0.5728, 0.4097)
Ca (0.1297, 0.9272, 0.9097)
Ca (0.2500, 0.2500, 0.1516)
Ca (0.2500, 0.2500, 0.6516)
Ca (0.3703, 0.5728, 0.9097)
Ca (0.3703, 0.9272, 0.4097)
Ca (0.4272, 0.6297, 0.5903)
Ca (0.4272, 0.8703, 0.0903)
Ca (0.5728, 0.1297, 0.9097)
Ca (0.5728, 0.3703, 0.4097)
Ca (0.6297, 0.0728, 0.5903)
Ca (0.6297, 0.4272, 0.0903)
Ca (0.7500, 0.7500, 0.3484)
Ca (0.7500, 0.7500, 0.8484)
Ca (0.8703, 0.0728, 0.0903)
Ca (0.8703, 0.4272, 0.5903)
Ca (0.9272, 0.1297, 0.4097)
Ca (0.9272, 0.3703, 0.9097)
Fe (0.1136, 0.6136, 0.7500)
Fe (0.1136, 0.8864, 0.2500)
Fe (0.3864, 0.6136, 0.2500)
Fe (0.3864, 0.8864, 0.7500)
Fe (0.6136, 0.1136, 0.2500)
Fe (0.6136, 0.3864, 0.7500)
Fe (0.8864, 0.1136, 0.7500)
Fe (0.8864, 0.3864, 0.2500)
N (0.0532, 0.6400, 0.8923)
N (0.0532, 0.8600, 0.3923)
N (0.1400, 0.5532, 0.6077)
N (0.1400, 0.9468, 0.1077)
N (0.3600, 0.5532, 0.1077)
N (0.3600, 0.9468, 0.6077)
N (0.4468, 0.6400, 0.3923)
N (0.4468, 0.8600, 0.8923)
N (0.5532, 0.1400, 0.1077)
N (0.5532, 0.3600, 0.6077)
N (0.6400, 0.0532, 0.3923)
N (0.6400, 0.4468, 0.8923)
N (0.8600, 0.0532, 0.8923)
N (0.8600, 0.4468, 0.3923)
N (0.9468, 0.1400, 0.6077)
N (0.9468, 0.3600, 0.1077)

The 10 most intense peaks (2θ from 5° to 70°), in order of falling intensity:
2θ (°)	I (rel.)	h k l
33.02	100	2 1 3
35.49	60	3 1 0
15.67	32	1 1 0
66.92	23	3 3 6
36.24	17	3 1 1
28.76	16	2 1 2
43.48	14	0 0 6
25.91	13	2 1 1
64.63	13	4 0 6
46.49	12	1 1 6